Diffraction record for Tb6InCo2. The powder diffraction line list is calculated, not measured: it uses a crystal structure in the Materials Project, relaxed with PBE and Cu Ka.
Kinematic intensities with the Lorentz-polarization factor, no thermal factor.

Most intense lines, 15° ≤ 2θ ≤ 90°, in order of falling intensity:
2.803 Å, 2θ = 31.93°, rel. 100, (2 2 2); 2.611 Å, 2θ = 34.34°, rel. 42, (1 3 2); 2.622 Å, 2θ = 34.19°, rel. 30, (2 1 3); 2.579 Å, 2θ = 34.78°, rel. 29, (2 3 1); 2.994 Å, 2θ = 29.84°, rel. 25, (3 1 0); 1.551 Å, 2θ = 59.63°, rel. 22, (5 3 2); 3.151 Å, 2θ = 28.32°, rel. 18, (0 1 3); 2.360 Å, 2θ = 38.13°, rel. 18, (4 0 0)

Crystal structure
Lattice parameters (Å, degrees): 9.4415 9.7098 10.0025 90.00 90.00 90.00
Space group Immm (No. 71)
One atom of each set of equivalent atoms:
Tb 0.0000 0.2079 0.2337 x8
Tb 0.1916 0.5000 0.1809 x8
Tb 0.2134 0.3151 0.5000 x8
In 0.0000 0.0000 0.0000 x2
In 0.0000 0.0000 0.5000 x2
Co 0.0000 0.3645 0.0000 x4
Co 0.0000 0.5000 0.3880 x4